Cs3HgCl6: calculated PXRD pattern (Cu Kα (λ = 1.5418 Å)), based on the GGA-PBE geometry in Alexandria.
Kinematic intensities with the Lorentz-polarization factor, no thermal factor.

Crystal structure
a b c (Å): 8.0095 8.4671 13.9037
angles (deg): 90.00 124.19 90.00
Space group P2_1/c (No. 14)
One atom of each set of equivalent atoms:
Cs 0.0000 0.0000 0.0000 [2 per cell]
Cs 0.2772 0.0699 0.7536 [4 per cell]
Hg 0.5000 0.0000 0.5000 [2 per cell]
Cl 0.1879 0.0306 0.2856 [4 per cell]
Cl 0.2807 0.6693 0.0468 [4 per cell]
Cl 0.3912 0.2322 0.0571 [4 per cell]

The 6 most intense peaks (2θ = 10–80°), in order of rising 2θ:
d 4.234, I 44, (0 2 0); d 4.116, I 99, (1 1 1); d 4.065, I 100, (1 1 -3); d 4.004, I 46, (2 0 -2); d 2.909, I 57, (2 2 -2); d 2.315, I 44, (3 1 -5)